[1]
# Pr2Sn6Ru
Computed powder diffraction line list, λ = 1.5418 Å (Cu Kα). Input: the GGA-PBE geometry in Alexandria.
Neutral-atom scattering factors, no anomalous dispersion.

Most intense lines, 2θ = 10–80°, sorted by position:
2θ 25.9, rel. 35
2θ 30.1, rel. 100
2θ 35.2, rel. 44
2θ 35.4, rel. 43
2θ 41.3, rel. 34
2θ 44.9, rel. 36

Atomic structure:
Lattice parameters (Å, degrees): 7.0579 4.0387 9.3953 90.00 111.63 90.00
Fractional coordinates of all 9 atoms:
Pr (0.2176, 0.0000, 0.4382)
Pr (0.7824, 0.0000, 0.5618)
Sn (0.1609, 0.5000, 0.7293)
Sn (0.2323, 0.0000, 0.0022)
Sn (0.4349, 0.5000, 0.2739)
Sn (0.5651, 0.5000, 0.7261)
Sn (0.7677, 0.0000, 0.9978)
Sn (0.8391, 0.5000, 0.2707)
Ru (0.5000, 0.5000, 0.0000)

***

[2]
# Pr8Sn2Ru
Computed powder diffraction line list, λ = 1.5418 Å (Cu Kα). Input: the GGA-PBE geometry in Alexandria.
Neutral-atom scattering factors, no anomalous dispersion.

Most intense lines, 2θ = 10–80°, sorted by position:
2θ 28.1, rel. 30
2θ 29.2, rel. 70
2θ 30.5, rel. 100
2θ 32.1, rel. 25
2θ 35.8, rel. 51
2θ 37.1, rel. 24

Atomic structure:
Lattice parameters (Å, degrees): 10.1706 10.1706 7.2137 101.40 101.40 28.52
Fractional coordinates of all 11 atoms:
Pr (0.0111, 0.0111, 0.2796)
Pr (0.2164, 0.2164, 0.8279)
Pr (0.3561, 0.3561, 0.4876)
Pr (0.4070, 0.4070, 0.0109)
Pr (0.5930, 0.5930, 0.9891)
Pr (0.6439, 0.6439, 0.5124)
Pr (0.7836, 0.7836, 0.1721)
Pr (0.9889, 0.9889, 0.7204)
Sn (0.1809, 0.1809, 0.2605)
Sn (0.8191, 0.8191, 0.7395)
Ru (0.5000, 0.5000, 0.5000)

***

[3]
# PrSn3Ru2
Computed powder diffraction line list, λ = 1.5418 Å (Cu Kα). Input: the GGA-PBE geometry in Alexandria.
Neutral-atom scattering factors, no anomalous dispersion.

Most intense lines, 2θ = 10–80°, sorted by position:
2θ 32.6, rel. 100
2θ 38.9, rel. 17
2θ 40.7, rel. 38
2θ 41.7, rel. 33
2θ 42.2, rel. 27
2θ 59.7, rel. 14

Atomic structure:
Lattice parameters (Å, degrees): 9.1736 9.1736 10.6456 104.13 104.13 27.32
Fractional coordinates of all 18 atoms:
Pr (0.0000, 0.0000, 0.0000)
Pr (0.1448, 0.1448, 0.6883)
Pr (0.8552, 0.8552, 0.3117)
Sn (0.0529, 0.0529, 0.3481)
Sn (0.2286, 0.2286, 0.3719)
Sn (0.3491, 0.3491, 0.0782)
Sn (0.3632, 0.3632, 0.8172)
Sn (0.5000, 0.5000, 0.5000)
Sn (0.6368, 0.6368, 0.1828)
Sn (0.6509, 0.6509, 0.9218)
Sn (0.7714, 0.7714, 0.6281)
Sn (0.9471, 0.9471, 0.6519)
Ru (0.2038, 0.2038, 0.0908)
Ru (0.3588, 0.3588, 0.5612)
Ru (0.4919, 0.4919, 0.2289)
Ru (0.5081, 0.5081, 0.7711)
Ru (0.6412, 0.6412, 0.4388)
Ru (0.7962, 0.7962, 0.9092)

***

[4]
# PrSn3Ru
Computed powder diffraction line list, λ = 1.5418 Å (Cu Kα). Input: the GGA-PBE geometry in Alexandria.
Neutral-atom scattering factors, no anomalous dispersion.

Most intense lines, 2θ = 10–80°, sorted by position:
2θ 32.9, rel. 100
2θ 34.2, rel. 43
2θ 36.6, rel. 19
2θ 45.2, rel. 22
2θ 57.9, rel. 16
2θ 62.7, rel. 14

Atomic structure:
Lattice parameters (Å, degrees): 9.8229 9.8229 9.8229 90.00 90.00 90.00
Fractional coordinates of all 40 atoms:
Pr (0.0000, 0.0000, 0.0000)
Pr (0.0000, 0.2500, 0.5000)
Pr (0.0000, 0.7500, 0.5000)
Pr (0.2500, 0.5000, 0.0000)
Pr (0.5000, 0.0000, 0.2500)
Pr (0.5000, 0.0000, 0.7500)
Pr (0.5000, 0.5000, 0.5000)
Pr (0.7500, 0.5000, 0.0000)
Sn (0.0000, 0.3147, 0.1560)
Sn (0.0000, 0.3147, 0.8440)
Sn (0.0000, 0.6853, 0.1560)
Sn (0.0000, 0.6853, 0.8440)
Sn (0.1560, 0.0000, 0.3147)
Sn (0.1560, 0.0000, 0.6853)
Sn (0.1853, 0.5000, 0.3440)
Sn (0.1853, 0.5000, 0.6560)
Sn (0.3147, 0.1560, 0.0000)
Sn (0.3147, 0.8440, 0.0000)
Sn (0.3440, 0.1853, 0.5000)
Sn (0.3440, 0.8147, 0.5000)
Sn (0.5000, 0.3440, 0.1853)
Sn (0.5000, 0.3440, 0.8147)
Sn (0.5000, 0.6560, 0.1853)
Sn (0.5000, 0.6560, 0.8147)
Sn (0.6560, 0.1853, 0.5000)
Sn (0.6560, 0.8147, 0.5000)
Sn (0.6853, 0.1560, 0.0000)
Sn (0.6853, 0.8440, 0.0000)
Sn (0.8147, 0.5000, 0.3440)
Sn (0.8147, 0.5000, 0.6560)
Sn (0.8440, 0.0000, 0.3147)
Sn (0.8440, 0.0000, 0.6853)
Ru (0.2500, 0.2500, 0.2500)
Ru (0.2500, 0.2500, 0.7500)
Ru (0.2500, 0.7500, 0.2500)
Ru (0.2500, 0.7500, 0.7500)
Ru (0.7500, 0.2500, 0.2500)
Ru (0.7500, 0.2500, 0.7500)
Ru (0.7500, 0.7500, 0.2500)
Ru (0.7500, 0.7500, 0.7500)

***

[5]
# Pr8Sn2Ru3
Computed powder diffraction line list, λ = 1.5418 Å (Cu Kα). Input: the GGA-PBE geometry in Alexandria.
Neutral-atom scattering factors, no anomalous dispersion.

Most intense lines, 2θ = 10–80°, sorted by position:
2θ 34.1, rel. 100
2θ 35.2, rel. 25
2θ 35.4, rel. 25
2θ 50.8, rel. 18
2θ 62.5, rel. 17
2θ 62.8, rel. 17

Atomic structure:
Lattice parameters (Å, degrees): 9.2067 5.0990 9.2170 90.00 113.24 90.00
Fractional coordinates of all 13 atoms:
Pr (0.1088, 0.0000, 0.3909)
Pr (0.1451, 0.5000, 0.8659)
Pr (0.3657, 0.5000, 0.6445)
Pr (0.3868, 0.0000, 0.1129)
Pr (0.6132, 0.0000, 0.8871)
Pr (0.6343, 0.5000, 0.3555)
Pr (0.8549, 0.5000, 0.1341)
Pr (0.8912, 0.0000, 0.6091)
Sn (0.2433, 0.5000, 0.2562)
Sn (0.7567, 0.5000, 0.7438)
Ru (0.2510, 0.0000, 0.7506)
Ru (0.5000, 0.5000, 0.0000)
Ru (0.7490, 0.0000, 0.2494)

***

[6]
# Pr3Sn2Ru
Computed powder diffraction line list, λ = 1.5418 Å (Cu Kα). Input: the GGA-PBE geometry in Alexandria.
Neutral-atom scattering factors, no anomalous dispersion.

Most intense lines, 2θ = 10–80°, sorted by position:
2θ 28.5, rel. 46
2θ 29.8, rel. 100
2θ 32.5, rel. 53
2θ 35.2, rel. 58
2θ 38.5, rel. 39
2θ 40.5, rel. 52

Atomic structure:
Lattice parameters (Å, degrees): 12.8906 4.4550 12.1321 90.00 90.00 90.00
Fractional coordinates of all 24 atoms:
Pr (0.0531, 0.2500, 0.1285)
Pr (0.1187, 0.7500, 0.5467)
Pr (0.2382, 0.2500, 0.7886)
Pr (0.2618, 0.7500, 0.2886)
Pr (0.3813, 0.2500, 0.0467)
Pr (0.4469, 0.7500, 0.6285)
Pr (0.5531, 0.2500, 0.3715)
Pr (0.6187, 0.7500, 0.9533)
Pr (0.7382, 0.2500, 0.7114)
Pr (0.7618, 0.7500, 0.2114)
Pr (0.8813, 0.2500, 0.4533)
Pr (0.9469, 0.7500, 0.8715)
Sn (0.0048, 0.7500, 0.3084)
Sn (0.1912, 0.7500, 0.9936)
Sn (0.3088, 0.2500, 0.4936)
Sn (0.4952, 0.2500, 0.8084)
Sn (0.5048, 0.7500, 0.1916)
Sn (0.6912, 0.7500, 0.5064)
Sn (0.8088, 0.2500, 0.0064)
Sn (0.9952, 0.2500, 0.6916)
Ru (0.1289, 0.2500, 0.3674)
Ru (0.3711, 0.7500, 0.8674)
Ru (0.6289, 0.2500, 0.1326)
Ru (0.8711, 0.7500, 0.6326)

***

[7]
# TbPrRu
Computed powder diffraction line list, λ = 1.5418 Å (Cu Kα). Input: the GGA-PBE geometry in Alexandria.
Neutral-atom scattering factors, no anomalous dispersion.

Most intense lines, 2θ = 10–80°, sorted by position:
2θ 13.8, rel. 31
2θ 27.0, rel. 45
2θ 31.3, rel. 100
2θ 34.8, rel. 64
2θ 42.0, rel. 31
2θ 45.7, rel. 34

Atomic structure:
Lattice parameters (Å, degrees): 6.1761 4.3049 6.7256 90.00 106.95 90.00
Fractional coordinates of all 6 atoms:
Tb (0.0136, 0.2500, 0.2119)
Tb (0.9864, 0.7500, 0.7881)
Pr (0.4445, 0.2500, 0.7081)
Pr (0.5555, 0.7500, 0.2919)
Ru (0.1619, 0.7500, 0.4580)
Ru (0.8381, 0.2500, 0.5420)

***

[8]
# Pr5TeRu2
Computed powder diffraction line list, λ = 1.5418 Å (Cu Kα). Input: the GGA-PBE geometry in Alexandria.
Neutral-atom scattering factors, no anomalous dispersion.

Most intense lines, 2θ = 10–80°, sorted by position:
2θ 30.4, rel. 27
2θ 31.4, rel. 100
2θ 34.2, rel. 28
2θ 34.9, rel. 69
2θ 41.2, rel. 24
2θ 65.5, rel. 20

Atomic structure:
Lattice parameters (Å, degrees): 8.9445 8.9445 8.9445 125.95 125.95 79.96
Fractional coordinates of all 16 atoms:
Pr (0.0000, 0.0000, 0.0000)
Pr (0.0214, 0.5214, 0.8107)
Pr (0.2107, 0.0214, 0.5000)
Pr (0.2893, 0.7893, 0.8107)
Pr (0.4786, 0.2893, 0.5000)
Pr (0.5000, 0.5000, 0.0000)
Pr (0.5214, 0.7107, 0.5000)
Pr (0.7107, 0.2107, 0.1893)
Pr (0.7893, 0.9786, 0.5000)
Pr (0.9786, 0.4786, 0.1893)
Te (0.2500, 0.2500, 0.0000)
Te (0.7500, 0.7500, 0.0000)
Ru (0.1421, 0.3579, 0.5000)
Ru (0.3579, 0.8579, 0.2158)
Ru (0.6421, 0.1421, 0.7842)
Ru (0.8579, 0.6421, 0.5000)

***

[9]
# Pr8TlRu2
Computed powder diffraction line list, λ = 1.5418 Å (Cu Kα). Input: the GGA-PBE geometry in Alexandria.
Neutral-atom scattering factors, no anomalous dispersion.

Most intense lines, 2θ = 10–80°, sorted by position:
2θ 29.3, rel. 50
2θ 30.3, rel. 77
2θ 32.1, rel. 100
2θ 33.1, rel. 74
2θ 36.4, rel. 36
2θ 50.6, rel. 28

Atomic structure:
Lattice parameters (Å, degrees): 8.2706 8.2706 5.7206 97.59 97.59 115.15
Fractional coordinates of all 11 atoms:
Pr (0.0000, 0.0000, 0.0000)
Pr (0.0664, 0.3203, 0.6424)
Pr (0.1485, 0.6434, 0.1995)
Pr (0.3203, 0.0664, 0.6424)
Pr (0.4727, 0.7266, 0.7560)
Pr (0.6434, 0.1485, 0.1995)
Pr (0.7266, 0.4727, 0.7560)
Pr (0.7931, 0.7931, 0.3987)
Tl (0.3965, 0.3965, 0.1993)
Ru (0.1016, 0.6922, 0.7000)
Ru (0.6922, 0.1016, 0.7000)

***

[10]
# Pr3TmRu8
Computed powder diffraction line list, λ = 1.5418 Å (Cu Kα). Input: the GGA-PBE geometry in Alexandria.
Neutral-atom scattering factors, no anomalous dispersion.

Most intense lines, 2θ = 10–80°, sorted by position:
2θ 33.0, rel. 28
2θ 33.2, rel. 27
2θ 38.9, rel. 34
2θ 39.0, rel. 100
2θ 40.9, rel. 29
2θ 69.6, rel. 17

Atomic structure:
Lattice parameters (Å, degrees): 9.4202 9.4202 9.4202 33.33 33.33 33.33
Fractional coordinates of all 12 atoms:
Pr (0.0000, 0.0000, 0.0000)
Pr (0.1250, 0.1250, 0.1250)
Pr (0.4998, 0.4998, 0.4998)
Tm (0.6243, 0.6243, 0.6243)
Ru (0.0579, 0.0579, 0.5743)
Ru (0.0579, 0.5743, 0.0579)
Ru (0.0631, 0.5580, 0.5580)
Ru (0.3073, 0.3073, 0.3073)
Ru (0.5580, 0.0631, 0.5580)
Ru (0.5580, 0.5580, 0.0631)
Ru (0.5743, 0.0579, 0.0579)
Ru (0.8078, 0.8078, 0.8078)

***

[11]
# PrZn3Ru
Computed powder diffraction line list, λ = 1.5418 Å (Cu Kα). Input: the GGA-PBE geometry in Alexandria.
Neutral-atom scattering factors, no anomalous dispersion.

Most intense lines, 2θ = 10–80°, sorted by position:
2θ 31.8, rel. 32
2θ 33.8, rel. 23
2θ 38.0, rel. 100
2θ 40.3, rel. 29
2θ 45.5, rel. 28
2θ 63.3, rel. 24

Atomic structure:
Lattice parameters (Å, degrees): 6.7257 6.7257 5.3003 90.00 90.00 128.17
Fractional coordinates of all 10 atoms:
Pr (0.1087, 0.8913, 0.7500)
Pr (0.8913, 0.1087, 0.2500)
Zn (0.1226, 0.4099, 0.7500)
Zn (0.3096, 0.6904, 0.2500)
Zn (0.4099, 0.1226, 0.2500)
Zn (0.5901, 0.8774, 0.7500)
Zn (0.6904, 0.3096, 0.7500)
Zn (0.8774, 0.5901, 0.2500)
Ru (0.5000, 0.5000, 0.0000)
Ru (0.5000, 0.5000, 0.5000)

***

[12]
# Pr4ZnRu2
Computed powder diffraction line list, λ = 1.5418 Å (Cu Kα). Input: the GGA-PBE geometry in Alexandria.
Neutral-atom scattering factors, no anomalous dispersion.

Most intense lines, 2θ = 10–80°, sorted by position:
2θ 32.4, rel. 100
2θ 32.9, rel. 42
2θ 35.0, rel. 31
2θ 35.3, rel. 56
2θ 35.6, rel. 30
2θ 47.4, rel. 33

Atomic structure:
Lattice parameters (Å, degrees): 7.4581 7.6702 7.9672 62.11 81.79 74.62
Fractional coordinates of all 14 atoms:
Pr (0.0000, 0.0000, 0.0000)
Pr (0.0041, 0.5028, 0.0035)
Pr (0.1704, 0.7216, 0.4778)
Pr (0.1752, 0.2272, 0.4637)
Pr (0.4923, 0.9086, 0.9271)
Pr (0.5126, 0.3776, 0.9768)
Pr (0.6096, 0.3944, 0.4212)
Pr (0.6330, 0.8790, 0.4050)
Zn (0.8558, 0.9587, 0.6637)
Zn (0.8733, 0.4443, 0.6720)
Ru (0.2233, 0.3082, 0.7692)
Ru (0.2852, 0.6065, 0.1686)
Ru (0.3010, 0.0653, 0.1852)
Ru (0.8745, 0.1367, 0.2957)